This entry pairs a crystal structure of ErTm2In3CuAg2 with its computed PXRD pattern. Radiation: Cu Kα X-rays. Structure: the GGA-PBE geometry in OQMD.

Structural model:
Cell lengths 3.833, 13.443, 7.750 Å; angles 90.00, 90.00, 90.00 degrees
Space group Amm2 (No. 38)
One atom of each set of equivalent atoms:
Er (0.000, 0.000, 0.000) [2 per cell]
Tm (0.000, 0.201, 0.603) [4 per cell]
In (0.500, 0.000, 0.655) [2 per cell]
In (0.500, 0.127, 0.276) [4 per cell]
Cu (0.000, 0.000, 0.402) [2 per cell]
Ag (0.500, 0.167, 0.902) [4 per cell]

Top 10 peaks for 15° ≤ 2θ ≤ 90°, low angle first:
| 2θ (°) | I (rel.) | (hkl) |
| --- | --- | --- |
| 32.85 | 100 | 1 0 2 |
| 35.36 | 48 | 0 5 1 |
| 35.54 | 66 | 1 2 2 |
| 40.28 | 33 | 0 6 0 |
| 42.72 | 16 | 1 5 1 |
| 47.44 | 19 | 2 0 0 |
| 54.79 | 17 | 1 7 1 |
| 60.53 | 20 | 2 5 1 |
| 63.94 | 16 | 2 6 0 |
| 65.26 | 25 | 1 8 2 |

***

This entry pairs a crystal structure of ErCuSi2Ag with its computed PXRD pattern. Radiation: Cu Kα X-rays. Structure: the GGA-PBE geometry in OQMD.

Structural model:
Cell lengths 4.046, 4.046, 10.387 Å; angles 90.00, 90.00, 90.00 degrees
Space group I-4m2 (No. 119)
One atom of each set of equivalent atoms:
Er (0.000, 0.000, 0.000) [2 per cell]
Cu (0.000, 0.500, 0.250) [2 per cell]
Si (0.000, 0.000, 0.389) [4 per cell]
Ag (0.000, 0.500, 0.750) [2 per cell]

Top 10 peaks for 15° ≤ 2θ ≤ 90°, low angle first:
| 2θ (°) | I (rel.) | (hkl) |
| --- | --- | --- |
| 23.60 | 36 | 1 0 1 |
| 34.08 | 35 | 1 0 3 |
| 34.54 | 19 | 0 0 4 |
| 35.83 | 100 | 1 1 2 |
| 44.80 | 34 | 2 0 0 |
| 49.31 | 16 | 1 0 5 |
| 57.46 | 16 | 2 1 3 |
| 57.77 | 16 | 2 0 4 |
| 62.73 | 15 | 1 1 6 |
| 76.71 | 21 | 3 1 2 |

***

This entry pairs a crystal structure of Er2TmZn3CuAg2 with its computed PXRD pattern. Radiation: Cu Kα X-rays. Structure: the GGA-PBE geometry in OQMD.

Structural model:
Cell lengths 3.960, 12.505, 7.225 Å; angles 90.00, 90.00, 90.00 degrees
Space group Amm2 (No. 38)
One atom of each set of equivalent atoms:
Er (0.000, 0.201, 0.000) [4 per cell]
Tm (0.000, 0.000, 0.397) [2 per cell]
Zn (0.500, 0.000, 0.033) [2 per cell]
Zn (0.500, 0.117, 0.681) [4 per cell]
Cu (0.000, 0.000, 0.798) [2 per cell]
Ag (0.500, 0.166, 0.299) [4 per cell]

Top 10 peaks for 15° ≤ 2θ ≤ 90°, low angle first:
| 2θ (°) | I (rel.) | (hkl) |
| --- | --- | --- |
| 33.59 | 100 | 1 3 1 |
| 36.61 | 67 | 1 4 0 |
| 38.06 | 36 | 0 4 2 |
| 43.40 | 25 | 0 6 0 |
| 45.83 | 22 | 2 0 0 |
| 52.76 | 17 | 0 7 1 |
| 58.05 | 21 | 1 5 3 |
| 61.05 | 18 | 2 4 2 |
| 64.96 | 16 | 2 6 0 |
| 69.70 | 19 | 1 7 3 |

***

This entry pairs a crystal structure of CuAg4F5 with its computed PXRD pattern. Radiation: Cu Kα X-rays. Structure: the GGA-PBE geometry in OQMD.

Structural model:
Cell lengths 8.574, 8.574, 3.757 Å; angles 90.00, 90.00, 90.00 degrees
Space group I4/m (No. 87)
One atom of each set of equivalent atoms:
Cu (0.000, 0.000, 0.000) [2 per cell]
Ag (0.094, 0.643, 0.500) [8 per cell]
F (0.000, 0.000, 0.500) [2 per cell]
F (0.133, 0.804, 0.000) [8 per cell]

Top 10 peaks for 15° ≤ 2θ ≤ 90°, low angle first:
| 2θ (°) | I (rel.) | (hkl) |
| --- | --- | --- |
| 33.04 | 53 | 3 1 0 |
| 33.39 | 100 | 1 2 1 |
| 39.62 | 11 | 3 0 1 |
| 42.16 | 14 | 4 0 0 |
| 45.12 | 57 | 2 3 1 |
| 47.42 | 11 | 2 4 0 |
| 48.46 | 18 | 0 0 2 |
| 54.57 | 13 | 5 1 0 |
| 59.23 | 13 | 5 0 1 |
| 59.90 | 17 | 3 1 2 |

***

This entry pairs a crystal structure of Hf2Ga2CuAg with its computed PXRD pattern. Radiation: Cu Kα X-rays. Structure: the GGA-PBE geometry in OQMD.

Structural model:
Cell lengths 7.500, 4.299, 14.312 Å; angles 90.00, 99.58, 90.00 degrees
Space group Pm (No. 6)
One atom of each set of equivalent atoms:
Hf (0.000, 0.000, 0.000) [1 per cell]
Hf (0.009, 0.500, 0.493) [1 per cell]
Hf (0.234, 0.000, 0.735) [1 per cell]
Hf (0.246, 0.500, 0.241) [1 per cell]
Hf (0.480, 0.000, 0.483) [1 per cell]
Hf (0.499, 0.500, 0.999) [1 per cell]
Hf (0.742, 0.000, 0.236) [1 per cell]
Hf (0.759, 0.500, 0.739) [1 per cell]
Ga (0.121, 0.500, 0.861) [1 per cell]
Ga (0.124, 0.000, 0.362) [1 per cell]
Ga (0.363, 0.500, 0.610) [1 per cell]
Ga (0.372, 0.000, 0.122) [1 per cell]
Ga (0.611, 0.500, 0.362) [1 per cell]
Ga (0.621, 0.000, 0.865) [1 per cell]
Ga (0.874, 0.500, 0.123) [1 per cell]
Ga (0.879, 0.000, 0.616) [1 per cell]
Cu (0.060, 0.000, 0.182) [1 per cell]
Cu (0.060, 0.500, 0.676) [1 per cell]
Cu (0.305, 0.500, 0.424) [1 per cell]
Cu (0.557, 0.500, 0.181) [1 per cell]
Ag (0.308, 0.000, 0.928) [1 per cell]
Ag (0.557, 0.000, 0.675) [1 per cell]
Ag (0.808, 0.000, 0.427) [1 per cell]
Ag (0.811, 0.500, 0.930) [1 per cell]

Top 10 peaks for 15° ≤ 2θ ≤ 90°, low angle first:
| 2θ (°) | I (rel.) | (hkl) |
| --- | --- | --- |
| 25.27 | 62 | 1 1 1 |
| 29.07 | 14 | 2 0 2 |
| 29.35 | 28 | 1 1 -3 |
| 41.78 | 100 | 3 1 -1 |
| 41.99 | 50 | 0 2 0 |
| 49.64 | 20 | 2 2 -2 |
| 51.88 | 12 | 2 2 2 |
| 60.89 | 16 | 2 2 -6 |
| 76.17 | 12 | 6 0 -2 |
| 76.60 | 24 | 3 3 -1 |

***

This entry pairs a crystal structure of Li2GaCu2Ag2Sn with its computed PXRD pattern. Radiation: Cu Kα X-rays. Structure: the GGA-PBE geometry in OQMD.

Structural model:
Cell lengths 4.417, 4.417, 6.415 Å; angles 90.00, 90.00, 90.00 degrees
Space group P-4m2 (No. 115)
One atom of each set of equivalent atoms:
Li (0.000, 0.000, 0.000) [1 per cell]
Li (0.500, 0.500, 0.500) [1 per cell]
Ga (0.000, 0.000, 0.500) [1 per cell]
Cu (0.000, 0.500, 0.270) [2 per cell]
Ag (0.000, 0.500, 0.732) [2 per cell]
Sn (0.500, 0.500, 0.000) [1 per cell]

Top 10 peaks for 15° ≤ 2θ ≤ 90°, low angle first:
| 2θ (°) | I (rel.) | (hkl) |
| --- | --- | --- |
| 24.47 | 49 | 1 0 1 |
| 28.58 | 10 | 1 1 0 |
| 40.31 | 100 | 1 1 2 |
| 40.87 | 50 | 2 0 0 |
| 47.23 | 8 | 1 0 3 |
| 48.21 | 16 | 2 1 1 |
| 59.17 | 16 | 2 2 0 |
| 72.90 | 15 | 2 0 4 |
| 74.03 | 31 | 3 1 2 |
| 87.11 | 9 | 2 2 4 |

***

This entry pairs a crystal structure of Y3Mg3GaCuAg with its computed PXRD pattern. Radiation: Cu Kα X-rays. Structure: the GGA-PBE geometry in OQMD.

Structural model:
Cell lengths 7.4416, 7.4416, 4.2257 Å; angles 90.00, 90.00, 120.00 degrees
Space group P-6 (No. 174)
One atom of each set of equivalent atoms:
Y (0.0080, 0.5947, 0.0000) [3 per cell]
Mg (0.0005, 0.2403, 0.5000) [3 per cell]
Ga (0.3333, 0.6667, 0.5000) [1 per cell]
Cu (0.0000, 0.0000, 0.0000) [1 per cell]
Ag (0.6667, 0.3333, 0.5000) [1 per cell]

Top 10 peaks for 15° ≤ 2θ ≤ 90°, low angle first:
| 2θ (°) | I (rel.) | (hkl) |
| --- | --- | --- |
| 23.92 | 34 | 1 1 0 |
| 32.05 | 97 | 1 1 1 |
| 35.02 | 100 | 2 0 1 |
| 36.90 | 27 | 1 2 0 |
| 42.06 | 35 | 3 0 0 |
| 42.83 | 57 | 0 0 2 |
| 51.10 | 15 | 1 3 0 |
| 55.85 | 19 | 3 1 1 |
| 61.57 | 23 | 3 0 2 |
| 67.06 | 32 | 2 3 1 |

***

This entry pairs a crystal structure of Tm2Ga2CuAg with its computed PXRD pattern. Radiation: Cu Kα X-rays. Structure: the GGA-PBE geometry in OQMD.

Structural model:
Cell lengths 4.4585, 4.4585, 6.8998 Å; angles 90.00, 90.00, 120.00 degrees
Space group P3m1 (No. 156)
One atom of each set of equivalent atoms:
Tm (0.0000, 0.0000, 0.0000) [1 per cell]
Tm (0.0000, 0.0000, 0.4871) [1 per cell]
Ga (0.3333, 0.6667, 0.2671) [1 per cell]
Ga (0.3333, 0.6667, 0.7113) [1 per cell]
Cu (0.6667, 0.3333, 0.2344) [1 per cell]
Ag (0.6667, 0.3333, 0.7572) [1 per cell]

Top 10 peaks for 15° ≤ 2θ ≤ 90°, low angle first:
| 2θ (°) | I (rel.) | (hkl) |
| --- | --- | --- |
| 23.03 | 17 | 1 0 0 |
| 34.87 | 100 | 0 1 2 |
| 40.46 | 60 | 1 1 0 |
| 53.09 | 8 | 0 0 4 |
| 54.46 | 28 | 2 0 2 |
| 68.82 | 21 | 1 1 4 |
| 70.00 | 26 | 1 2 2 |
| 73.60 | 12 | 3 0 0 |
| 87.54 | 9 | 2 2 0 |
| 88.77 | 6 | 0 1 6 |

***

This entry pairs a crystal structure of GdCuAgS3 with its computed PXRD pattern. Radiation: Cu Kα X-rays. Structure: the GGA-PBE geometry in OQMD.

Structural model:
Cell lengths 3.834, 12.266, 10.419 Å; angles 90.00, 90.00, 90.00 degrees
Space group Cmcm (No. 63)
One atom of each set of equivalent atoms:
Gd (0.000, 0.000, 0.000) [4 per cell]
Cu (0.000, 0.478, 0.250) [4 per cell]
Ag (0.000, 0.218, 0.750) [4 per cell]
S (0.000, 0.089, 0.250) [4 per cell]
S (0.000, 0.356, 0.080) [8 per cell]

Top 10 peaks for 15° ≤ 2θ ≤ 90°, low angle first:
| 2θ (°) | I (rel.) | (hkl) |
| --- | --- | --- |
| 22.39 | 48 | 0 2 2 |
| 29.12 | 20 | 0 4 0 |
| 29.84 | 38 | 1 1 2 |
| 33.16 | 36 | 1 3 1 |
| 34.43 | 34 | 0 0 4 |
| 35.64 | 19 | 1 1 3 |
| 36.46 | 100 | 1 3 2 |
| 45.70 | 22 | 0 4 4 |
| 47.39 | 32 | 2 0 0 |
| 60.78 | 19 | 1 7 2 |

***

This entry pairs a crystal structure of CuAgHgGeTe4 with its computed PXRD pattern. Radiation: Cu Kα X-rays. Structure: the GGA-PBE geometry in OQMD.

Structural model:
Cell lengths 6.405, 6.405, 12.222 Å; angles 90.00, 90.00, 90.00 degrees
Space group I-4 (No. 82)
One atom of each set of equivalent atoms:
Cu (0.000, 0.000, 0.000) [2 per cell]
Ag (0.000, 0.000, 0.500) [2 per cell]
Hg (0.000, 0.500, 0.250) [2 per cell]
Ge (0.000, 0.500, 0.750) [2 per cell]
Te (0.220, 0.747, 0.883) [8 per cell]

Top 10 peaks for 15° ≤ 2θ ≤ 90°, low angle first:
| 2θ (°) | I (rel.) | (hkl) |
| --- | --- | --- |
| 24.46 | 100 | 1 1 2 |
| 32.09 | 9 | 2 1 1 |
| 39.81 | 26 | 2 2 0 |
| 40.82 | 50 | 2 0 4 |
| 47.28 | 31 | 3 1 2 |
| 49.03 | 16 | 1 1 6 |
| 57.56 | 8 | 4 0 0 |
| 64.92 | 13 | 1 3 6 |
| 72.95 | 15 | 4 2 4 |
| 74.99 | 7 | 2 2 8 |

***

This entry pairs a crystal structure of PrCuAgGe2 with its computed PXRD pattern. Radiation: Cu Kα X-rays. Structure: the GGA-PBE geometry in OQMD.

Structural model:
Cell lengths 4.269, 4.269, 10.723 Å; angles 90.00, 90.00, 90.00 degrees
Space group I-4m2 (No. 119)
One atom of each set of equivalent atoms:
Pr (0.000, 0.000, 0.000) [2 per cell]
Cu (0.000, 0.500, 0.250) [2 per cell]
Ag (0.000, 0.500, 0.750) [2 per cell]
Ge (0.000, 0.000, 0.384) [4 per cell]

Top 10 peaks for 15° ≤ 2θ ≤ 90°, low angle first:
| 2θ (°) | I (rel.) | (hkl) |
| --- | --- | --- |
| 32.67 | 53 | 1 0 3 |
| 34.08 | 100 | 1 1 2 |
| 42.34 | 53 | 2 0 0 |
| 45.24 | 13 | 1 1 4 |
| 47.44 | 26 | 1 0 5 |
| 54.49 | 24 | 2 1 3 |
| 61.42 | 17 | 2 2 0 |
| 65.45 | 19 | 2 1 5 |
| 72.15 | 21 | 3 1 2 |
| 85.55 | 12 | 2 0 8 |

***

This entry pairs a crystal structure of CuAgH5 with its computed PXRD pattern. Radiation: Cu Kα X-rays. Structure: the GGA-PBE geometry in OQMD.

Structural model:
Cell lengths 3.203, 4.544, 4.587 Å; angles 94.90, 107.47, 108.34 degrees
Space group P-1 (No. 2)
One atom of each set of equivalent atoms:
Cu (0.000, 0.000, 0.000) [1 per cell]
Ag (0.000, 0.500, 0.500) [1 per cell]
H (0.024, 0.250, 0.780) [2 per cell]
H (0.291, 0.279, 0.311) [2 per cell]
H (0.500, 0.000, 0.000) [1 per cell]

Top 10 peaks for 15° ≤ 2θ ≤ 90°, low angle first:
| 2θ (°) | I (rel.) | (hkl) |
| --- | --- | --- |
| 26.50 | 100 | 0 1 -1 |
| 31.35 | 64 | 1 0 0 |
| 32.56 | 59 | 0 1 1 |
| 33.43 | 54 | -1 1 1 |
| 41.22 | 28 | 1 -1 1 |
| 41.80 | 27 | 1 1 -1 |
| 42.15 | 27 | 0 0 2 |
| 42.78 | 25 | 0 2 0 |
| 43.16 | 49 | 1 -2 0 |
| 65.47 | 21 | 2 0 0 |

***

This entry pairs a crystal structure of HfTlCuAg with its computed PXRD pattern. Radiation: Cu Kα X-rays. Structure: the GGA-PBE geometry in OQMD.

Structural model:
Cell lengths 6.692, 6.692, 6.692 Å; angles 90.00, 90.00, 90.00 degrees
Space group F-43m (No. 216)
One atom of each set of equivalent atoms:
Hf (0.000, 0.000, 0.000) [4 per cell]
Tl (0.250, 0.250, 0.250) [4 per cell]
Cu (0.000, 0.000, 0.500) [4 per cell]
Ag (0.250, 0.250, 0.750) [4 per cell]

Top 10 peaks for 15° ≤ 2θ ≤ 90°, low angle first:
| 2θ (°) | I (rel.) | (hkl) |
| --- | --- | --- |
| 23.02 | 14 | 1 1 1 |
| 26.64 | 2 | 2 0 0 |
| 38.03 | 100 | 2 2 0 |
| 44.92 | 8 | 3 1 1 |
| 54.88 | 17 | 4 0 0 |
| 60.28 | 4 | 3 3 1 |
| 68.71 | 35 | 4 2 2 |
| 73.54 | 3 | 5 1 1 |
| 81.33 | 11 | 4 4 0 |
| 85.92 | 3 | 5 3 1 |

***

This entry pairs a crystal structure of CuAgHgI4 with its computed PXRD pattern. Radiation: Cu Kα X-rays. Structure: the GGA-PBE geometry in OQMD.

Structural model:
Cell lengths 6.300, 6.406, 6.438 Å; angles 90.00, 90.00, 90.00 degrees
Space group P222 (No. 16)
One atom of each set of equivalent atoms:
Cu (0.000, 0.000, 0.000) [1 per cell]
Ag (0.500, 0.500, 0.000) [1 per cell]
Hg (0.500, 0.000, 0.500) [1 per cell]
I (0.221, 0.249, 0.244) [4 per cell]

Top 10 peaks for 15° ≤ 2θ ≤ 90°, low angle first:
| 2θ (°) | I (rel.) | (hkl) |
| --- | --- | --- |
| 19.55 | 12 | 0 1 1 |
| 24.16 | 100 | 1 1 1 |
| 34.66 | 9 | 2 1 1 |
| 39.70 | 27 | 0 2 2 |
| 40.05 | 24 | 2 0 2 |
| 40.15 | 24 | 2 2 0 |
| 46.92 | 16 | 1 1 3 |
| 47.10 | 16 | 1 3 1 |
| 47.71 | 13 | 3 1 1 |
| 72.42 | 8 | 2 4 2 |